Entry 1:
The following is a calculated powder XRD pattern of SrO10. It was derived from a crystal structure in Alexandria, relaxed with GGA-PBE, using Cu Kα, 1.54184 Å.

Structure:
```
data_SrO10
_cell_length_a 6.3413
_cell_length_b 6.3413
_cell_length_c 5.0336
_cell_angle_alpha 90.00
_cell_angle_beta 90.00
_cell_angle_gamma 90.00
_space_group_name_H-M_alt 'P 1'
_space_group_IT_number 1
_space_group_name_Hall 'P 1'
loop_
_atom_site_label
_atom_site_type_symbol
_atom_site_fract_x
_atom_site_fract_y
_atom_site_fract_z
Sr1 Sr 0.0000 0.0000 0.0000
O1 O 0.1915 0.1915 0.3739
O2 O 0.1915 0.1915 0.6261
O3 O 0.1915 0.8085 0.3739
O4 O 0.1915 0.8085 0.6261
O5 O 0.5000 0.5000 0.1228
O6 O 0.5000 0.5000 0.8772
O7 O 0.8085 0.1915 0.3739
O8 O 0.8085 0.1915 0.6261
O9 O 0.8085 0.8085 0.3739
O10 O 0.8085 0.8085 0.6261
```

Largest 10 diffraction maxima, sorted by position, 2θ from 5° to 70°:
Position (°2θ), intensity
13.97, 100
19.80, 85
26.62, 40
33.40, 74
36.36, 28
40.22, 24
46.60, 17
48.35, 12
48.89, 27
51.99, 11



Entry 2:
The following is a calculated powder XRD pattern of GaBi3Pd4. It was derived from a crystal structure in Alexandria, relaxed with GGA-PBE, using Cu Kα, 1.54184 Å.

Structure:
```
data_GaBi3Pd4
_cell_length_a 6.4597
_cell_length_b 6.4597
_cell_length_c 6.4597
_cell_angle_alpha 126.16
_cell_angle_beta 78.84
_cell_angle_gamma 127.12
_space_group_name_H-M_alt 'P 1'
_space_group_IT_number 1
_space_group_name_Hall 'P 1'
loop_
_atom_site_label
_atom_site_type_symbol
_atom_site_fract_x
_atom_site_fract_y
_atom_site_fract_z
Ga1 Ga 0.0000 0.0000 0.0000
Bi1 Bi 0.3862 0.5901 0.7961
Bi2 Bi 0.7940 0.5901 0.2039
Bi3 Bi 0.8054 0.3054 0.5000
Pd1 Pd 0.3283 0.0802 0.2481
Pd2 Pd 0.3549 0.0968 0.7420
Pd3 Pd 0.3549 0.6129 0.2580
Pd4 Pd 0.8321 0.0802 0.7519
```

Largest 10 diffraction maxima, sorted by position, 2θ from 5° to 70°:
Position (°2θ), intensity
28.16, 36
30.57, 43
30.92, 38
35.59, 81
35.97, 79
36.04, 100
44.15, 74
47.95, 38
58.23, 36
58.45, 26



Entry 3:
The following is a calculated powder XRD pattern of InTeS. It was derived from a crystal structure in Alexandria, relaxed with GGA-PBE, using Cu Kα, 1.54184 Å.

Structure:
```
data_InTeS
_cell_length_a 4.0075
_cell_length_b 5.6775
_cell_length_c 7.4487
_cell_angle_alpha 90.12
_cell_angle_beta 105.41
_cell_angle_gamma 90.05
_space_group_name_H-M_alt 'P 1'
_space_group_IT_number 1
_space_group_name_Hall 'P 1'
loop_
_atom_site_label
_atom_site_type_symbol
_atom_site_fract_x
_atom_site_fract_y
_atom_site_fract_z
In1 In 0.1816 0.2480 0.3612
In2 In 0.8184 0.7520 0.6388
Te1 Te 0.4761 0.7505 0.9554
Te2 Te 0.5239 0.2495 0.0446
S1 S 0.2017 0.7497 0.4030
S2 S 0.7983 0.2503 0.5970
```

Largest 10 diffraction maxima, sorted by position, 2θ from 5° to 70°:
Position (°2θ), intensity
19.94, 42
29.06, 100
31.52, 48
37.58, 14
41.78, 13
43.38, 49
43.45, 17
45.25, 17
49.81, 14
56.19, 18